Starting from a cell relaxed with GGA-PBE, the powder X-ray diffraction pattern of TbY3Th3 was computed for Cu Kα (weighted mean of Kα1 and Kα2).

Principal peaks in the range 2θ from 10° to 90°, sorted by position:
| Position (°2θ) | I_rel | hkl |
| --- | --- | --- |
| 10.71 | 18.4 | 1 0 0 |
| 28.59 | 24.2 | 2 1 0 |
| 30.72 | 25.8 | 0 0 2 |
| 32.55 | 100.0 | 2 1 1 |
| 42.46 | 17.2 | 2 1 2 |
| 50.65 | 22.1 | 1 4 0 |
| 55.79 | 21.9 | 2 1 3 |
| 60.41 | 22.4 | 1 4 2 |
| 61.50 | 16.4 | 4 2 1 |
| 83.61 | 13.0 | 7 0 1 |

Structure:
a b c (Å): 9.5383 9.5383 5.8199
angles (deg): 90.00 90.00 120.00
Fractional positions:
Tb 0.3333 0.6667 0.2500
Tb 0.6667 0.3333 0.7500
Y 0.0438 0.2394 0.2500
Y 0.1957 0.9562 0.2500
Y 0.2394 0.1957 0.7500
Y 0.7606 0.8043 0.2500
Y 0.8043 0.0438 0.7500
Y 0.9562 0.7606 0.7500
Th 0.1035 0.4875 0.7500
Th 0.3840 0.8965 0.7500
Th 0.4875 0.3840 0.2500
Th 0.5125 0.6160 0.7500
Th 0.6160 0.1035 0.2500
Th 0.8965 0.5125 0.2500